(1)
Calculated X-ray powder pattern of Nd12TlCo5 for a wavelength of 1.5418 Å, from a DFT-relaxed cell (GGA-PBE, Alexandria).
No peak broadening, texture or thermal motion is included.

Atomic structure:
```
data_Nd12TlCo5
_symmetry_space_group_name_H-M 'I m m m'
_symmetry_Int_Tables_number 71
_symmetry_space_group_name_Hall '-I 2 2'
_cell_length_a 9.801
_cell_length_b 9.895
_cell_length_c 10.096
_cell_angle_alpha 90.00
_cell_angle_beta 90.00
_cell_angle_gamma 90.00
loop_
_atom_site_label
_atom_site_type_symbol
_atom_site_fract_x
_atom_site_fract_y
_atom_site_fract_z
_atom_site_occupancy
Nd1 Nd 0.000 0.191 0.199 1
Nd2 Nd 0.193 0.500 0.184 1
Nd3 Nd 0.200 0.315 0.500 1
Tl1 Tl 0.000 0.000 0.500 1
Co1 Co 0.000 0.000 0.000 1
Co2 Co 0.000 0.381 0.000 1
Co3 Co 0.000 0.500 0.388 1
```

Peak list (10 most intense, 10 to 90 degrees two-theta, sorted by position)
- 2θ 28.0, rel. 30.0, (1 0 3)
- 2θ 28.5, rel. 37.4, (0 3 1)
- 2θ 28.8, rel. 39.5, (3 1 0)
- 2θ 31.2, rel. 100.0, (2 2 2)
- 2θ 33.5, rel. 62.1, (2 1 3)
- 2θ 33.7, rel. 55.9, (1 3 2)
- 2θ 34.1, rel. 38.8, (3 2 1)
- 2θ 54.2, rel. 35.9, (3 5 0)
- 2θ 57.2, rel. 22.1, (2 5 3)
- 2θ 57.7, rel. 30.6, (5 3 2)

(2)
Calculated X-ray powder pattern of Nd12Tl5Co2 for a wavelength of 1.5418 Å, from a DFT-relaxed cell (GGA-PBE, Alexandria).
No peak broadening, texture or thermal motion is included.

Atomic structure:
```
data_Nd12Tl5Co2
_symmetry_space_group_name_H-M 'C 1 2/m 1'
_symmetry_Int_Tables_number 12
_cell_length_a 17.300
_cell_length_b 7.867
_cell_length_c 10.095
_cell_angle_alpha 90.00
_cell_angle_beta 106.99
_cell_angle_gamma 90.00
loop_
_symmetry_equiv_pos_as_xyz
'x,y,z'
'-x,-y,-z'
'-x,y,-z'
'x,-y,z'
'x+1/2,y+1/2,z'
'-x+1/2,-y+1/2,-z'
'-x+1/2,y+1/2,-z'
'x+1/2,-y+1/2,z'
loop_
_atom_site_label
_atom_site_type_symbol
_atom_site_fract_x
_atom_site_fract_y
_atom_site_fract_z
_atom_site_occupancy
Nd1 Nd 0.000 0.000 0.179 1
Nd2 Nd 0.002 0.500 0.771 1
Nd3 Nd 0.154 0.245 0.578 1
Nd4 Nd 0.156 0.268 0.079 1
Tl1 Tl 0.000 0.000 0.500 1
Tl2 Tl 0.193 0.500 0.360 1
Tl3 Tl 0.197 0.500 0.838 1
Co1 Co 0.000 0.292 0.000 1
```

Peak list (10 most intense, 10 to 90 degrees two-theta, sorted by position)
- 2θ 19.7, rel. 59.2, (3 1 0)
- 2θ 20.9, rel. 62.2, (1 1 -2)
- 2θ 29.3, rel. 100.0, (2 2 -2)
- 2θ 31.4, rel. 61.7, (4 2 0)
- 2θ 32.5, rel. 56.6, (6 0 0)
- 2θ 33.1, rel. 80.4, (4 2 -2)
- 2θ 35.6, rel. 48.0, (2 0 -4)
- 2θ 39.8, rel. 46.5, (4 2 2)
- 2θ 46.2, rel. 30.9, (0 4 0)
- 2θ 48.9, rel. 27.4, (8 0 -4)

(3)
Calculated X-ray powder pattern of NdTmCo2 for a wavelength of 1.5418 Å, from a DFT-relaxed cell (GGA-PBE, Alexandria).
No peak broadening, texture or thermal motion is included.

Atomic structure:
```
data_NdTmCo2
_symmetry_space_group_name_H-M 'P m c 21'
_symmetry_Int_Tables_number 26
_cell_length_a 3.874
_cell_length_b 5.633
_cell_length_c 7.569
_cell_angle_alpha 90.00
_cell_angle_beta 90.00
_cell_angle_gamma 90.00
loop_
_symmetry_equiv_pos_as_xyz
'x,y,z'
'-x,-y,z+1/2'
'-x,y,z'
'x,-y,z+1/2'
loop_
_atom_site_label
_atom_site_type_symbol
_atom_site_fract_x
_atom_site_fract_y
_atom_site_fract_z
_atom_site_occupancy
Nd1 Nd 0.000 0.132 0.000 1
Tm1 Tm 0.500 0.371 0.643 1
Co1 Co 0.000 0.366 0.355 1
Co2 Co 0.500 0.172 0.300 1
```

Peak list (10 most intense, 10 to 90 degrees two-theta, sorted by position)
- 2θ 28.0, rel. 35.2, (1 1 0)
- 2θ 28.4, rel. 34.0, (0 1 2)
- 2θ 30.4, rel. 100.0, (1 1 1)
- 2θ 33.1, rel. 93.4, (1 0 2)
- 2θ 34.0, rel. 95.4, (0 2 1)
- 2θ 36.8, rel. 67.9, (1 1 2)
- 2θ 39.1, rel. 69.0, (0 1 3)
- 2θ 41.4, rel. 74.8, (1 2 1)
- 2θ 46.9, rel. 40.4, (2 0 0)
- 2θ 59.2, rel. 38.6, (2 2 1)

(4)
Calculated X-ray powder pattern of NdY4Co for a wavelength of 1.5418 Å, from a DFT-relaxed cell (GGA-PBE, Alexandria).
No peak broadening, texture or thermal motion is included.

Atomic structure:
```
data_NdY4Co
_symmetry_space_group_name_H-M 'P 1 2/m 1'
_symmetry_Int_Tables_number 10
_cell_length_a 6.243
_cell_length_b 3.556
_cell_length_c 8.720
_cell_angle_alpha 90.00
_cell_angle_beta 101.38
_cell_angle_gamma 90.00
loop_
_symmetry_equiv_pos_as_xyz
'x,y,z'
'-x,-y,-z'
'-x,y,-z'
'x,-y,z'
loop_
_atom_site_label
_atom_site_type_symbol
_atom_site_fract_x
_atom_site_fract_y
_atom_site_fract_z
_atom_site_occupancy
Nd1 Nd 0.000 0.000 0.000 1
Y1 Y 0.112 0.500 0.347 1
Y2 Y 0.412 0.000 0.720 1
Co1 Co 0.500 0.500 0.500 1
```

Peak list (10 most intense, 10 to 90 degrees two-theta, sorted by position)
- 2θ 16.1, rel. 27.5, (1 0 -1)
- 2θ 27.2, rel. 47.6, (0 1 1)
- 2θ 27.7, rel. 18.7, (1 0 2)
- 2θ 29.0, rel. 37.4, (2 0 -1)
- 2θ 29.2, rel. 26.2, (2 0 0)
- 2θ 31.4, rel. 26.8, (0 0 3)
- 2θ 31.9, rel. 86.6, (1 1 1)
- 2θ 34.2, rel. 100.0, (1 1 -2)
- 2θ 51.4, rel. 16.8, (0 2 0)
- 2θ 54.6, rel. 23.9, (2 1 3)

(5)
Calculated X-ray powder pattern of NdYCo3 for a wavelength of 1.5418 Å, from a DFT-relaxed cell (GGA-PBE, Alexandria).
No peak broadening, texture or thermal motion is included.

Atomic structure:
```
data_NdYCo3
_symmetry_space_group_name_H-M 'C m c m'
_symmetry_Int_Tables_number 63
_symmetry_space_group_name_Hall '-C 2c 2'
_cell_length_a 4.195
_cell_length_b 23.360
_cell_length_c 3.920
_cell_angle_alpha 90.00
_cell_angle_beta 90.00
_cell_angle_gamma 90.00
loop_
_atom_site_label
_atom_site_type_symbol
_atom_site_fract_x
_atom_site_fract_y
_atom_site_fract_z
_atom_site_occupancy
Nd1 Nd 0.000 0.071 0.250 1
Y1 Y 0.000 0.206 0.750 1
Co1 Co 0.000 0.331 0.750 1
Co2 Co 0.000 0.378 0.250 1
Co3 Co 0.000 0.476 0.250 1
```

Peak list (10 most intense, 10 to 90 degrees two-theta, sorted by position)
- 2θ 27.4, rel. 17.3, (0 4 1)
- 2θ 33.3, rel. 100.0, (1 3 1)
- 2θ 34.3, rel. 62.4, (1 7 0)
- 2θ 36.8, rel. 23.2, (1 5 1)
- 2θ 43.1, rel. 27.8, (2 0 0)
- 2θ 45.2, rel. 33.7, (0 10 1)
- 2θ 46.3, rel. 22.5, (0 0 2)
- 2θ 58.9, rel. 25.2, (1 7 2)
- 2θ 64.2, rel. 22.4, (2 10 1)
- 2θ 65.1, rel. 15.5, (2 0 2)

(6)
Calculated X-ray powder pattern of Nd3ZnCo2 for a wavelength of 1.5418 Å, from a DFT-relaxed cell (GGA-PBE, Alexandria).
No peak broadening, texture or thermal motion is included.

Atomic structure:
```
data_Nd3ZnCo2
_symmetry_space_group_name_H-M 'P 1 21/m 1'
_symmetry_Int_Tables_number 11
_cell_length_a 4.972
_cell_length_b 8.806
_cell_length_c 6.575
_cell_angle_alpha 90.00
_cell_angle_beta 97.25
_cell_angle_gamma 90.00
loop_
_symmetry_equiv_pos_as_xyz
'x,y,z'
'-x,-y,-z'
'-x,y+1/2,-z'
'x,-y+1/2,z'
loop_
_atom_site_label
_atom_site_type_symbol
_atom_site_fract_x
_atom_site_fract_y
_atom_site_fract_z
_atom_site_occupancy
Nd1 Nd 0.062 0.250 0.246 1
Nd2 Nd 0.417 0.038 0.742 1
Zn1 Zn 0.082 0.750 0.214 1
Co1 Co 0.000 0.000 0.000 1
Co2 Co 0.409 0.750 0.526 1
```

Peak list (10 most intense, 10 to 90 degrees two-theta, sorted by position)
- 2θ 27.1, rel. 82.1, (1 2 0)
- 2θ 27.3, rel. 61.6, (0 0 2)
- 2θ 29.4, rel. 31.0, (1 2 -1)
- 2θ 31.5, rel. 28.3, (1 2 1)
- 2θ 33.5, rel. 39.6, (0 3 1)
- 2θ 36.4, rel. 33.0, (2 0 0)
- 2θ 37.2, rel. 100.0, (1 2 -2)
- 2θ 37.3, rel. 47.7, (2 0 -1)
- 2θ 40.6, rel. 88.5, (1 2 2)
- 2θ 41.0, rel. 37.8, (0 4 0)

(7)
Calculated X-ray powder pattern of NdZn11Co for a wavelength of 1.5418 Å, from a DFT-relaxed cell (GGA-PBE, Alexandria).
No peak broadening, texture or thermal motion is included.

Atomic structure:
```
data_NdZn11Co
_symmetry_space_group_name_H-M 'C 1 2/m 1'
_symmetry_Int_Tables_number 12
_cell_length_a 5.021
_cell_length_b 12.695
_cell_length_c 6.835
_cell_angle_alpha 90.00
_cell_angle_beta 111.03
_cell_angle_gamma 90.00
loop_
_symmetry_equiv_pos_as_xyz
'x,y,z'
'-x,-y,-z'
'-x,y,-z'
'x,-y,z'
'x+1/2,y+1/2,z'
'-x+1/2,-y+1/2,-z'
'-x+1/2,y+1/2,-z'
'x+1/2,-y+1/2,z'
loop_
_atom_site_label
_atom_site_type_symbol
_atom_site_fract_x
_atom_site_fract_y
_atom_site_fract_z
_atom_site_occupancy
Nd1 Nd 0.000 0.000 0.000 1
Zn1 Zn 0.000 0.000 0.500 1
Zn2 Zn 0.105 0.392 0.226 1
Zn3 Zn 0.198 0.172 0.362 1
Zn4 Zn 0.250 0.250 0.000 1
Co1 Co 0.000 0.500 0.500 1
```

Peak list (10 most intense, 10 to 90 degrees two-theta, sorted by position)
- 2θ 28.5, rel. 19.6, (1 3 0)
- 2θ 34.7, rel. 24.1, (1 3 1)
- 2θ 34.9, rel. 27.1, (1 3 -2)
- 2θ 35.8, rel. 18.2, (2 0 -1)
- 2θ 40.1, rel. 100.0, (0 4 2)
- 2θ 40.4, rel. 77.5, (1 1 -3)
- 2θ 41.1, rel. 41.7, (2 2 0)
- 2θ 41.3, rel. 32.3, (2 2 -2)
- 2θ 46.1, rel. 23.3, (2 4 -1)
- 2θ 73.3, rel. 18.9, (2 6 2)

(8)
Calculated X-ray powder pattern of NdZn10Co2 for a wavelength of 1.5418 Å, from a DFT-relaxed cell (GGA-PBE, Alexandria).
No peak broadening, texture or thermal motion is included.

Atomic structure:
```
data_NdZn10Co2
_symmetry_space_group_name_H-M 'F m m m'
_symmetry_Int_Tables_number 69
_symmetry_space_group_name_Hall '-F 2 2'
_cell_length_a 4.959
_cell_length_b 12.684
_cell_length_c 12.725
_cell_angle_alpha 90.00
_cell_angle_beta 90.00
_cell_angle_gamma 90.00
loop_
_atom_site_label
_atom_site_type_symbol
_atom_site_fract_x
_atom_site_fract_y
_atom_site_fract_z
_atom_site_occupancy
Nd1 Nd 0.000 0.000 0.000 1
Zn1 Zn 0.000 0.115 0.392 1
Zn2 Zn 0.000 0.182 0.168 1
Zn3 Zn 0.250 0.000 0.250 1
Co1 Co 0.250 0.250 0.000 1
```

Peak list (10 most intense, 10 to 90 degrees two-theta, sorted by position)
- 2θ 28.6, rel. 34.2, (1 3 1)
- 2θ 35.0, rel. 73.7, (1 3 3)
- 2θ 36.2, rel. 28.2, (2 0 0)
- 2θ 40.2, rel. 96.9, (0 4 4)
- 2θ 40.5, rel. 70.5, (1 1 5)
- 2θ 40.6, rel. 86.6, (1 5 1)
- 2θ 41.6, rel. 100.0, (2 2 2)
- 2θ 46.5, rel. 61.8, (2 0 4)
- 2θ 68.1, rel. 31.9, (3 5 1)
- 2θ 74.0, rel. 32.0, (2 6 6)

> Number 6 is which compound?

Nd3ZnCo2

Repeat the fifth record exactly.
Calculated X-ray powder pattern of NdYCo3 for a wavelength of 1.5418 Å, from a DFT-relaxed cell (GGA-PBE, Alexandria).
No peak broadening, texture or thermal motion is included.

Atomic structure:
```
data_NdYCo3
_symmetry_space_group_name_H-M 'C m c m'
_symmetry_Int_Tables_number 63
_symmetry_space_group_name_Hall '-C 2c 2'
_cell_length_a 4.195
_cell_length_b 23.360
_cell_length_c 3.920
_cell_angle_alpha 90.00
_cell_angle_beta 90.00
_cell_angle_gamma 90.00
loop_
_atom_site_label
_atom_site_type_symbol
_atom_site_fract_x
_atom_site_fract_y
_atom_site_fract_z
_atom_site_occupancy
Nd1 Nd 0.000 0.071 0.250 1
Y1 Y 0.000 0.206 0.750 1
Co1 Co 0.000 0.331 0.750 1
Co2 Co 0.000 0.378 0.250 1
Co3 Co 0.000 0.476 0.250 1
```

Peak list (10 most intense, 10 to 90 degrees two-theta, sorted by position)
- 2θ 27.4, rel. 17.3, (0 4 1)
- 2θ 33.3, rel. 100.0, (1 3 1)
- 2θ 34.3, rel. 62.4, (1 7 0)
- 2θ 36.8, rel. 23.2, (1 5 1)
- 2θ 43.1, rel. 27.8, (2 0 0)
- 2θ 45.2, rel. 33.7, (0 10 1)
- 2θ 46.3, rel. 22.5, (0 0 2)
- 2θ 58.9, rel. 25.2, (1 7 2)
- 2θ 64.2, rel. 22.4, (2 10 1)
- 2θ 65.1, rel. 15.5, (2 0 2)